Record 1
Theoretical XRD peak list
Compound: LaPuS2F2
Radiation: CuKα
Structure: a PBE-relaxed structure

Principal peaks in the range 10 to 90 degrees two-theta, low angle first:
two_theta  I/Imax
12.71  13.2
25.58  31.2
26.01  100.0
32.18  47.0
34.39  12.6
41.55  52.9
45.36  33.2
46.15  24.5
53.51  17.5
53.74  29.4
66.71  21.3
82.31  14.3

Crystal structure
```
LaPuS2F2
1.0
3.9337 0.0000 0.0000
0.0000 3.9337 0.0000
0.0000 0.0000 6.9647
La Pu S F
1 1 2 2
direct
0.0000 0.0000 0.0000
0.5000 0.5000 0.4691
0.0000 0.0000 0.5732
0.5000 0.5000 0.8703
0.0000 0.5000 0.2300
0.5000 0.0000 0.2300
```


Record 2
Theoretical XRD peak list
Compound: Ta7W8
Radiation: CuKα
Structure: a PBE-relaxed structure

Principal peaks in the range 10 to 90 degrees two-theta, low angle first:
two_theta  I/Imax
34.20  20.4
37.16  72.6
38.28  33.9
38.81  33.2
39.89  62.6
41.09  100.0
42.12  45.0
65.11  22.5
65.93  25.1
66.65  20.4
68.47  16.7
83.97  14.5

Crystal structure
```
Ta7W8
1.0
9.9755 0.0000 0.0000
0.0000 9.9755 0.0000
0.0000 0.0000 5.2430
Ta W
14 16
direct
0.0000 0.0000 0.0000
0.1075 0.1075 0.5000
0.1850 0.8150 0.2498
0.1850 0.8150 0.7502
0.3150 0.3150 0.2502
0.3150 0.3150 0.7498
0.3925 0.6075 0.0000
0.5000 0.5000 0.5000
0.6075 0.3925 0.0000
0.6850 0.6850 0.2502
0.6850 0.6850 0.7498
0.8150 0.1850 0.2498
0.8150 0.1850 0.7502
0.8925 0.8925 0.5000
0.0335 0.3742 0.5000
0.0650 0.2605 0.0000
0.1258 0.5335 0.0000
0.2395 0.5650 0.5000
0.2605 0.0650 0.0000
0.3742 0.0335 0.5000
0.4350 0.7605 0.5000
0.4665 0.8742 0.0000
0.5335 0.1258 0.0000
0.5650 0.2395 0.5000
0.6258 0.9665 0.5000
0.7395 0.9350 0.0000
0.7605 0.4350 0.5000
0.8742 0.4665 0.0000
0.9350 0.7395 0.0000
0.9665 0.6258 0.5000
```


Record 3
Theoretical XRD peak list
Compound: Nb2GeTe2
Radiation: CuKα
Structure: a PBE-relaxed structure

Principal peaks in the range 10 to 90 degrees two-theta, low angle first:
two_theta  I/Imax
11.76  26.9
23.16  37.1
28.66  80.6
34.07  100.0
37.48  76.0
40.06  89.7
45.68  64.4
48.36  23.8
54.82  25.7
60.52  36.9
68.71  32.5
80.64  22.6

Crystal structure
```
Nb2GeTe2
1.0
-1.9859 1.9859 7.5281
1.9859 -1.9859 7.5281
1.9859 1.9859 -7.5281
Nb Ge Te
2 1 2
direct
0.2500 0.7500 0.5000
0.7500 0.2500 0.5000
0.0000 0.0000 0.0000
0.3853 0.3853 0.0000
0.6147 0.6147 0.0000
```


Record 4
Theoretical XRD peak list
Compound: HoAuSO
Radiation: CuKα
Structure: a PBE-relaxed structure

Principal peaks in the range 10 to 90 degrees two-theta, low angle first:
two_theta  I/Imax
19.46  71.0
24.96  34.7
29.37  55.1
30.26  86.9
34.16  100.0
37.60  38.0
38.01  57.4
38.32  43.0
41.84  44.4
46.89  36.1
52.18  49.8
56.83  37.9

Crystal structure
```
HoAuSO
1.0
5.4809 0.0000 0.0000
0.0000 5.4809 0.0000
0.0000 0.0000 9.1217
Ho Au S O
4 4 4 4
direct
0.0000 0.0000 0.0000
0.0000 0.5000 0.2454
0.5000 0.0000 0.2454
0.5000 0.5000 0.0000
0.1812 0.3188 0.6153
0.3188 0.8188 0.6153
0.6812 0.1812 0.6153
0.8188 0.6812 0.6153
0.0000 0.0000 0.4103
0.0000 0.5000 0.8446
0.5000 0.0000 0.8446
0.5000 0.5000 0.4103
0.2489 0.2511 0.1240
0.2511 0.7511 0.1240
0.7489 0.2489 0.1240
0.7511 0.7489 0.1240
```


Record 5
Theoretical XRD peak list
Compound: Nd2HoMg3Tl2Hg
Radiation: CuKα
Structure: a PBE-relaxed structure

Principal peaks in the range 10 to 90 degrees two-theta, low angle first:
two_theta  I/Imax
23.14  25.2
23.30  47.1
23.42  48.0
30.08  26.6
30.31  63.1
33.11  100.0
33.39  57.1
38.48  42.2
40.78  52.5
41.02  20.9
57.34  23.6
64.16  18.1

Crystal structure
```
Nd2HoMg3Tl2Hg
1.0
4.6790 0.0000 0.0000
0.0000 6.5521 3.8445
0.0000 -6.5521 3.8445
Nd Ho Mg Tl Hg
2 1 3 2 1
direct
0.0000 0.2088 0.7912
0.0000 0.7912 0.2088
0.0000 0.6270 0.6270
0.5000 0.2108 0.4492
0.5000 0.4492 0.2108
0.5000 0.9746 0.9746
0.5000 0.5455 0.8714
0.5000 0.8714 0.5455
0.0000 0.2199 0.2199
```


Record 6
Theoretical XRD peak list
Compound: Cu2SnHgTe2S2
Radiation: CuKα
Structure: a PBE-relaxed structure

Principal peaks in the range 10 to 90 degrees two-theta, low angle first:
two_theta  I/Imax
21.00  17.7
25.96  100.0
33.63  22.7
37.25  14.0
42.78  26.0
43.16  42.7
50.72  31.6
51.38  11.6
57.99  8.0
62.09  8.4
69.03  9.7
78.61  14.4

Crystal structure
```
Cu2SnHgTe2S2
1.0
0.0000 4.2304 5.8796
4.2255 0.0000 5.8796
4.2255 4.2304 0.0000
Cu Sn Hg Te S
2 1 1 2 2
direct
0.0000 0.0000 0.5000
0.5000 0.5000 0.0000
0.2854 0.2854 0.7146
0.7818 0.7818 0.2182
0.3734 0.8815 0.6266
0.8815 0.3734 0.1185
0.1731 0.6526 0.3474
0.6526 0.1731 0.8269
```


Record 7
Theoretical XRD peak list
Compound: Sr2LaPt9
Radiation: CuKα
Structure: a PBE-relaxed structure

Principal peaks in the range 10 to 90 degrees two-theta, low angle first:
two_theta  I/Imax
18.99  42.2
32.65  24.3
38.07  26.3
38.49  100.0
38.53  15.6
40.16  33.3
41.56  61.8
44.87  29.7
62.22  25.0
68.49  26.7
71.86  12.2
82.49  27.1

Crystal structure
```
Sr2LaPt9
1.0
2.7398 1.5818 8.9806
-2.7398 1.5818 8.9806
0.0000 -3.1637 8.9806
Sr La Pt
2 1 9
direct
0.1419 0.1419 0.1419
0.8581 0.8581 0.8581
0.0000 0.0000 0.0000
0.0813 0.5838 0.5838
0.3325 0.3325 0.3325
0.4162 0.4162 0.9187
0.4162 0.9187 0.4162
0.5000 0.5000 0.5000
0.5838 0.0813 0.5838
0.5838 0.5838 0.0813
0.6675 0.6675 0.6675
0.9187 0.4162 0.4162
```


Record 8
Theoretical XRD peak list
Compound: YTlZn2
Radiation: CuKα
Structure: a PBE-relaxed structure

Principal peaks in the range 10 to 90 degrees two-theta, low angle first:
two_theta  I/Imax
21.95  20.6
25.39  7.5
36.22  100.0
42.75  11.4
52.15  17.4
57.24  5.1
58.87  3.4
65.15  35.1
69.64  3.9
76.87  10.8
81.11  4.0
88.06  15.6

Crystal structure
```
YTlZn2
1.0
0.0000 3.5075 3.5075
3.5075 0.0000 3.5075
3.5075 3.5075 0.0000
Y Tl Zn
1 1 2
direct
0.0000 0.0000 0.0000
0.7500 0.7500 0.7500
0.2500 0.2500 0.2500
0.5000 0.5000 0.5000
```


Record 9
Theoretical XRD peak list
Compound: Co2BP
Radiation: CuKα
Structure: a PBE-relaxed structure

Principal peaks in the range 10 to 90 degrees two-theta, low angle first:
two_theta  I/Imax
31.49  31.0
35.85  100.0
36.93  42.4
49.30  43.5
49.46  49.0
51.79  35.5
52.41  84.4
58.93  19.9
67.07  16.0
77.97  15.5
87.61  15.0
89.53  29.3

Crystal structure
```
Co2BP
1.0
2.7909 0.0000 0.0000
0.0000 4.8682 0.0000
0.0000 0.0000 5.6829
Co B P
4 2 2
direct
0.0000 0.2387 0.0000
0.0000 0.7564 0.8975
0.5000 0.2436 0.3975
0.5000 0.7613 0.5000
0.0000 0.0650 0.6383
0.5000 0.9350 0.1383
0.0000 0.5832 0.2521
0.5000 0.4168 0.7521
```


Record 10
Theoretical XRD peak list
Compound: BaNaPd2Pb4
Radiation: CuKα
Structure: a PBE-relaxed structure

Principal peaks in the range 10 to 90 degrees two-theta, low angle first:
two_theta  I/Imax
15.08  43.5
20.54  29.2
29.83  76.9
30.09  100.0
31.82  37.5
36.35  35.2
37.22  82.9
37.72  38.2
38.73  53.0
39.08  68.2
55.28  27.4
58.46  28.8

Crystal structure
```
BaNaPd2Pb4
1.0
4.6500 0.0000 0.0000
0.0000 8.1740 0.0000
-2.3253 0.0000 5.8743
Ba Na Pd Pb
1 1 2 4
direct
0.0000 0.0000 0.0000
0.8769 0.5000 0.7567
0.1519 0.5000 0.3043
0.7241 0.0000 0.4496
0.2922 0.2076 0.5856
0.2922 0.7924 0.5856
0.5927 0.3059 0.1859
0.5927 0.6941 0.1859
```